Diffraction record for CeSm10Tm4. The powder diffraction line list is computed, not measured: it uses a DFT-relaxed cell (GGA-PBE, Alexandria) and Cu Kα X-rays.
Neutral-atom scattering factors, no anomalous dispersion.

Principal peaks in the range 2θ from 10° to 80°, low angle first:
(1 0 3), 26.79 deg, I = 74; (3 0 1), 28.77 deg, I = 84; (3 1 0), 29.01 deg, I = 100; (2 1 3), 32.60 deg, I = 97; (3 1 2), 33.65 deg, I = 76; (3 2 1), 34.27 deg, I = 49; (2 0 4), 38.63 deg, I = 28; (2 4 0), 41.49 deg, I = 25; (2 3 3), 42.09 deg, I = 29; (2 4 2), 45.03 deg, I = 47

Cell and atoms:
a b c (Å): 9.734 9.734 10.621
angles (deg): 90.00 90.00 90.00
Space group I4/m (No. 87)
One atom of each set of equivalent atoms:
1 Ce 0.000 0.000 0.000 (multiplicity 2)
2 Sm 0.000 0.500 0.250 (multiplicity 4)
3 Sm 0.115 0.215 0.344 (multiplicity 16)
4 Tm 0.064 0.334 0.000 (multiplicity 8)

=====

Diffraction record for CeSm2YTm. The powder diffraction line list is computed, not measured: it uses a DFT-relaxed cell (GGA-PBE, Alexandria) and Cu Kα X-rays.
Neutral-atom scattering factors, no anomalous dispersion.

Principal peaks in the range 2θ from 10° to 80°, low angle first:
(0 2 1), 26.10 deg, I = 46; (2 1 0), 29.02 deg, I = 45; (0 0 2), 29.26 deg, I = 41; (1 2 -1), 29.37 deg, I = 33; (1 2 1), 29.47 deg, I = 35; (2 1 -1), 32.50 deg, I = 77; (2 1 1), 32.67 deg, I = 100; (1 1 -2), 34.03 deg, I = 31; (2 2 0), 34.72 deg, I = 37; (0 2 2), 36.65 deg, I = 37

Cell and atoms:
a b c (Å): 6.633 8.239 6.104
angles (deg): 90.00 90.44 90.00
Space group P2/c (No. 13)
One atom of each set of equivalent atoms:
1 Ce 0.000 0.000 0.000 (multiplicity 2)
2 Sm 0.263 0.306 0.253 (multiplicity 4)
3 Y 0.000 0.355 0.750 (multiplicity 2)
4 Tm 0.500 0.120 0.750 (multiplicity 2)